Entry 1:
Diffraction record for Ba3MgIr2O9. The powder XRD pattern is calculated, not measured: it uses the PBE geometry in the Materials Project and Cu Kα (λ = 1.5418 Å).
Peak positions follow from Bragg's law for the DFT cell and can differ from measured ones.

Structural model:
```
data_Ba3MgIr2O9
_chemical_formula_sum 'Ba6 Mg2 Ir4 O18'
_cell_length_a 5.8389
_cell_length_b 5.8389
_cell_length_c 14.4671
_cell_angle_alpha 90.00
_cell_angle_beta 90.00
_cell_angle_gamma 120.00
_symmetry_space_group_name_H-M 'P 63/m m c'
_symmetry_Int_Tables_number 194
_symmetry_space_group_name_Hall '-P 6c 2c'
loop_
_atom_site_label
_atom_site_fract_x
_atom_site_fract_y
_atom_site_fract_z
Ba1 0.0000 0.0000 0.2500
Ba2 0.3333 0.6667 0.0862
Mg1 0.0000 0.0000 0.0000
Ir1 0.3333 0.6667 0.6556
O1 0.0316 0.5158 0.7500
O2 0.1709 0.3417 0.5819
```

Top 10 peaks for 2θ = 15–90°, sorted by position:
- 2θ = 17.5°, rel. 18.6, hkl 1 0 0
- 2θ = 18.6°, rel. 37.3, hkl 1 0 1
- 2θ = 30.4°, rel. 42.9, hkl 1 0 4
- 2θ = 30.6°, rel. 100.0, hkl 1 1 0
- 2θ = 35.8°, rel. 36.9, hkl 1 0 5
- 2θ = 43.7°, rel. 25.2, hkl 2 0 4
- 2θ = 47.8°, rel. 22.2, hkl 2 0 5
- 2θ = 54.4°, rel. 20.2, hkl 3 0 0
- 2θ = 57.8°, rel. 20.8, hkl 2 1 5
- 2θ = 63.8°, rel. 18.2, hkl 2 2 0

=====

Entry 2:
Diffraction record for Ba6MgIr6O18. The powder XRD pattern is calculated, not measured: it uses the PBE geometry in the Materials Project and Cu Kα (λ = 1.5418 Å).
Peak positions follow from Bragg's law for the DFT cell and can differ from measured ones.

Structural model:
```
data_Ba6MgIr6O18
_chemical_formula_sum 'Ba6 Mg1 Ir6 O18'
_cell_length_a 5.777
_cell_length_b 5.968
_cell_length_c 15.107
_cell_angle_alpha 89.64
_cell_angle_beta 89.64
_cell_angle_gamma 61.47
_symmetry_space_group_name_H-M 'P 1'
_symmetry_Int_Tables_number 1
loop_
_symmetry_equiv_pos_as_xyz
'x,y,z'
loop_
_atom_site_label
_atom_site_fract_x
_atom_site_fract_y
_atom_site_fract_z
Ba1 0.000 0.000 0.000
Ba2 0.031 0.950 0.302
Ba3 0.321 0.358 0.825
Ba4 0.393 0.231 0.456
Ba5 0.620 0.759 0.685
Ba6 0.683 0.637 0.156
Mg1 0.903 0.207 0.594
Ir1 0.127 0.745 0.547
Ir2 0.330 0.333 0.058
Ir3 0.357 0.291 0.241
Ir4 0.662 0.673 0.914
Ir5 0.701 0.610 0.395
Ir6 0.990 0.021 0.765
O1 0.052 0.486 0.330
O2 0.135 0.726 0.674
O3 0.139 0.198 0.688
O4 0.186 0.168 0.147
O5 0.206 0.596 0.159
O6 0.357 0.792 0.828
O7 0.360 0.788 0.464
O8 0.476 0.040 0.965
O9 0.479 0.555 0.003
O10 0.525 0.933 0.305
O11 0.594 0.405 0.311
O12 0.636 0.155 0.143
O13 0.669 0.204 0.688
O14 0.828 0.799 0.475
O15 0.844 0.799 0.828
O16 0.851 0.314 0.474
O17 0.852 0.308 0.861
O18 0.965 0.562 0.002
```

Top 10 peaks for 2θ = 15–90°, sorted by position:
- 2θ = 17.9°, rel. 32.9, hkl 0 1 -1
- 2θ = 29.4°, rel. 76.8, hkl 1 0 4
- 2θ = 29.5°, rel. 33.9, hkl 1 0 -4
- 2θ = 29.7°, rel. 39.3, hkl 1 1 -4
- 2θ = 29.8°, rel. 57.6, hkl 1 -1 0
- 2θ = 30.0°, rel. 58.5, hkl 1 2 0
- 2θ = 30.4°, rel. 30.3, hkl -1 1 1
- 2θ = 30.5°, rel. 26.1, hkl 1 2 1
- 2θ = 31.0°, rel. 100.0, hkl 2 1 0
- 2θ = 34.5°, rel. 24.0, hkl 1 1 5

=====

Entry 3:
Diffraction record for Ba6MgIr6O18. The powder XRD pattern is calculated, not measured: it uses the PBE geometry in the Materials Project and Cu Kα (λ = 1.5418 Å).
Peak positions follow from Bragg's law for the DFT cell and can differ from measured ones.

Structural model:
```
data_Ba6MgIr6O18
_chemical_formula_sum 'Ba12 Mg2 Ir12 O36'
_cell_length_a 5.823
_cell_length_b 9.949
_cell_length_c 15.166
_cell_angle_alpha 90.00
_cell_angle_beta 93.32
_cell_angle_gamma 90.00
_symmetry_space_group_name_H-M 'C 1 2 1'
_symmetry_Int_Tables_number 5
loop_
_symmetry_equiv_pos_as_xyz
'x,y,z'
'-x,y,-z'
'x+1/2,y+1/2,z'
'-x+1/2,y+1/2,-z'
loop_
_atom_site_label
_atom_site_fract_x
_atom_site_fract_y
_atom_site_fract_z
Ba1 0.000 0.000 0.000
Ba2 0.000 0.014 0.500
Ba3 0.010 0.680 0.647
Ba4 0.042 0.346 0.804
Mg1 0.000 0.331 0.000
Ir1 0.003 0.347 0.592
Ir2 0.033 0.676 0.902
Ir3 0.034 0.014 0.751
O1 0.000 0.498 0.500
O2 0.000 0.522 0.000
O3 0.027 0.168 0.340
O4 0.097 0.863 0.845
O5 0.164 0.103 0.153
O6 0.170 0.611 0.204
O7 0.222 0.274 0.504
O8 0.222 0.745 0.021
O9 0.227 0.926 0.656
O10 0.238 0.923 0.322
```

Top 10 peaks for 2θ = 15–90°, sorted by position:
- 2θ = 28.8°, rel. 34.5, hkl 1 1 -4
- 2θ = 29.7°, rel. 31.2, hkl 0 2 4
- 2θ = 30.3°, rel. 25.5, hkl 1 1 4
- 2θ = 30.8°, rel. 46.0, hkl 2 0 0
- 2θ = 31.0°, rel. 100.0, hkl 1 3 0
- 2θ = 34.7°, rel. 15.8, hkl 0 2 5
- 2θ = 35.4°, rel. 16.0, hkl 1 1 5
- 2θ = 42.2°, rel. 16.6, hkl 2 2 -4
- 2θ = 43.5°, rel. 16.3, hkl 0 4 4
- 2θ = 54.9°, rel. 24.5, hkl 3 3 0